# 1
For LiSm2RuO6, a crystal structure in the Materials Project, relaxed with GGA-PBE gives the theoretical XRD peak list in this record (CuKα).
No peak broadening, texture or thermal motion is included.

Atomic structure:
```
data_LiSm2RuO6
_chemical_formula_sum 'Li2 Sm4 Ru2 O12'
_space_group_name_H-M_alt 'P 1 21/c 1'
_space_group_IT_number 14
_cell_length_a 5.403
_cell_length_b 5.787
_cell_length_c 9.376
_cell_angle_alpha 90.00
_cell_angle_beta 124.67
_cell_angle_gamma 90.00
loop_
_space_group_symop_operation_xyz
'x,y,z'
'-x,-y,-z'
'-x,y+1/2,-z+1/2'
'x,-y+1/2,z+1/2'
loop_
_atom_site_label
_atom_site_type_symbol
_atom_site_fract_x
_atom_site_fract_y
_atom_site_fract_z
_atom_site_occupancy
Li1 Li 0.000 0.000 0.000 1
Sm1 Sm 0.231 0.075 0.749 1
Ru1 Ru 0.500 0.000 0.500 1
O1 O 0.149 0.183 0.449 1
O2 O 0.265 0.709 0.443 1
O3 O 0.362 0.035 0.256 1
```

Peak list (6 most intense, 2θ from 10° to 90°, low angle first)
index, d_spacing, I (rel.)
0 1 1, 4.628, 37.4
1 1 -1, 3.949, 39.8
1 1 1, 2.768, 99.5
1 1 -3, 2.750, 100.0
2 0 -2, 2.704, 89.1
1 3 0, 1.768, 44.7


# 2
For LiSO4, a crystal structure in the Materials Project, relaxed with GGA-PBE gives the theoretical XRD peak list in this record (CuKα).
No peak broadening, texture or thermal motion is included.

Atomic structure:
```
data_LiSO4
_chemical_formula_sum 'Li2 S2 O8'
_space_group_name_H-M_alt 'P 63'
_space_group_IT_number 173
_cell_length_a 5.2743
_cell_length_b 5.2743
_cell_length_c 8.8532
_cell_angle_alpha 90.00
_cell_angle_beta 90.00
_cell_angle_gamma 120.00
loop_
_space_group_symop_operation_xyz
'x,y,z'
'x-y,x,z+1/2'
'-y,x-y,z'
'-x,-y,z+1/2'
'-x+y,-x,z'
'y,-x+y,z+1/2'
loop_
_atom_site_label
_atom_site_type_symbol
_atom_site_fract_x
_atom_site_fract_y
_atom_site_fract_z
_atom_site_occupancy
Li1 Li 0.3333 0.6667 0.0000 1
S1 S 0.3333 0.6667 0.6093 1
O1 O 0.0584 0.6501 0.5582 1
O2 O 0.3333 0.6667 0.7782 1
```

Peak list (6 most intense, 2θ from 10° to 90°, low angle first)
index, d_spacing, I (rel.)
1 0 0, 4.568, 45.0
0 0 2, 4.427, 51.3
1 0 1, 4.059, 100.0
1 0 2, 3.179, 9.5
1 1 1, 2.527, 16.7
0 0 4, 2.212, 14.0


# 3
For Li2SO5, a crystal structure in the Materials Project, relaxed with GGA-PBE gives the theoretical XRD peak list in this record (CuKα).
No peak broadening, texture or thermal motion is included.

Atomic structure:
```
data_Li2SO5
_chemical_formula_sum 'Li4 S2 O10'
_space_group_name_H-M_alt 'P 1 21 1'
_space_group_IT_number 4
_cell_length_a 5.507
_cell_length_b 4.937
_cell_length_c 8.259
_cell_angle_alpha 90.00
_cell_angle_beta 106.76
_cell_angle_gamma 90.00
loop_
_space_group_symop_operation_xyz
'x,y,z'
'-x,y+1/2,-z'
loop_
_atom_site_label
_atom_site_type_symbol
_atom_site_fract_x
_atom_site_fract_y
_atom_site_fract_z
_atom_site_occupancy
Li1 Li 0.049 0.000 0.395 1
Li2 Li 0.196 0.492 0.007 1
S1 S 0.207 0.989 0.791 1
O1 O 0.066 0.878 0.621 1
O2 O 0.101 0.864 0.921 1
O3 O 0.168 0.287 0.791 1
O4 O 0.422 0.021 0.396 1
O5 O 0.479 0.921 0.828 1
```

Peak list (6 most intense, 2θ from 10° to 90°, low angle first)
index, d_spacing, I (rel.)
1 0 -1, 5.122, 86.4
0 1 1, 4.188, 100.0
1 0 1, 3.899, 74.8
1 1 0, 3.604, 78.5
0 1 2, 3.086, 47.9
1 1 -2, 2.971, 44.3


# 4
For LiSmS2O8, a crystal structure in the Materials Project, relaxed with GGA-PBE gives the theoretical XRD peak list in this record (CuKα).
No peak broadening, texture or thermal motion is included.

Atomic structure:
```
data_LiSmS2O8
_chemical_formula_sum 'Li2 Sm2 S4 O16'
_space_group_name_H-M_alt 'P -4 n 2'
_space_group_IT_number 118
_cell_length_a 7.632
_cell_length_b 7.632
_cell_length_c 6.047
_cell_angle_alpha 90.00
_cell_angle_beta 90.00
_cell_angle_gamma 90.00
loop_
_space_group_symop_operation_xyz
'x,y,z'
'y,-x,-z'
'-x,-y,z'
'-y,x,-z'
'-x+1/2,y+1/2,z+1/2'
'-y+1/2,-x+1/2,-z+1/2'
'x+1/2,-y+1/2,z+1/2'
'y+1/2,x+1/2,-z+1/2'
loop_
_atom_site_label
_atom_site_type_symbol
_atom_site_fract_x
_atom_site_fract_y
_atom_site_fract_z
_atom_site_occupancy
Li1 Li 0.000 0.500 0.250 1
Sm1 Sm 0.000 0.500 0.750 1
S1 S 0.222 0.278 0.250 1
O1 O 0.087 0.316 0.073 1
O2 O 0.099 0.794 0.657 1
```

Peak list (6 most intense, 2θ from 10° to 90°, low angle first)
index, d_spacing, I (rel.)
1 1 0, 5.396, 100.0
1 0 1, 4.739, 86.6
1 1 1, 4.026, 51.2
2 1 1, 2.972, 65.3
3 0 1, 2.345, 37.8
3 1 2, 1.886, 27.2